Diffraction record for Li4ZnIr. The powder diffraction line list is theoretical, not measured: it uses DFT lattice parameters and positions (PBE) and Cu Kα (weighted mean of Kα1 and Kα2).
Lines closer than 0.1° are merged.

Top 6 peaks for 2θ = 10–90°, in order of rising 2θ:
2theta, I_rel
22.2, 641
23.3, 247
24.5, 1000
36.6, 178
40.3, 343
41.5, 318

Structure:
Unit cell a=4.672 b=4.684 c=4.828 alpha=102.68 beta=103.00 gamma=117.93
Fractional coordinates of all 6 atoms:
Li1 0.159 0.342 0.000
Li2 0.333 0.166 0.500
Li3 0.667 0.834 0.500
Li4 0.841 0.658 0.000
Zn1 0.500 0.000 0.000
Ir1 0.000 0.500 0.500